For KLiMnO2, DFT lattice parameters and positions (GGA+U) gives the simulated powder XRD pattern in this record (Cu Ka).

The 10 most intense peaks (2θ = 10–90°), by angle:
2θ/deg	intensity
18.73	427
19.84	503
25.42	316
31.51	412
32.06	445
32.45	763
33.31	1000
40.29	292
44.18	731
50.05	291

Cell and atoms:
```
KLiMnO2
1.0
4.476 -4.620 0.000
4.476 4.620 0.000
0.000 0.000 7.009
K Li Mn O
4 4 4 8
direct
0.000 0.000 0.250
0.000 0.000 0.750
0.000 0.500 0.000
0.500 0.000 0.500
0.360 0.640 0.250
0.360 0.640 0.750
0.640 0.360 0.250
0.640 0.360 0.750
0.171 0.379 0.500
0.379 0.171 0.000
0.621 0.829 0.000
0.829 0.621 0.500
0.160 0.704 0.500
0.296 0.840 0.000
0.323 0.323 0.250
0.323 0.323 0.750
0.677 0.677 0.250
0.677 0.677 0.750
0.704 0.160 0.000
0.840 0.296 0.500
```